Starting from a PBE+U-relaxed structure, the X-ray powder pattern of ZnCr2O4 was calculated for CuKα.
No peak broadening, texture or thermal motion is included.

Atomic structure:
Cell lengths 8.4789, 8.4789, 8.4789 Å; angles 90.00, 90.00, 90.00 degrees
Space group Fd-3m (No. 227, origin choice 2)
One atom of each set of equivalent atoms:
Zn  0.1250  0.1250  0.1250 [8 per cell]
Cr  0.0000  0.0000  0.5000 [16 per cell]
O  0.0113  0.0113  0.7387 [32 per cell]

Largest 8 diffraction maxima, in order of falling intensity, 2θ = 5–70°:
Position (°2θ), d_spacing, intensity
35.10, 2.556, 100
61.91, 1.499, 43
29.80, 2.998, 40
56.39, 1.632, 37
52.90, 1.731, 14
42.65, 2.120, 12
36.72, 2.448, 5
18.12, 4.895, 3